No. 1
Starting from a structure optimized by DFT (GGA-PBE), the PXRD pattern of Nd2GaAu was simulated for Cu Kα (weighted mean of Kα1 and Kα2).

The 12 most intense peaks (2θ = 10–90°), most intense first:
Position (°2θ)  d [Å]  Rel. int.
33.88  2.646  100
34.63  2.590  47
61.59  1.506  36
60.13  1.539  19
49.79  1.831  17
17.12  5.180  12
71.29  1.323  12
47.53  1.913  10
79.59  1.204  9
83.03  1.163  8
83.46  1.158  8
29.01  3.078  7

Structural model:
```
4
Lattice="5.1798 0.0000 0.0000 0.0000 5.1798 0.0000 0.0000 0.0000 3.8263" Properties=species:S:1:pos:R:3 pbc="T T T"
Nd 0.0000 2.5899 0.0000
Nd 2.5899 0.0000 0.0000
Ga 0.0000 0.0000 1.9131
Au 2.5899 2.5899 1.9131
```

No. 2
Starting from a structure optimized by DFT (GGA-PBE), the PXRD pattern of NdGaAu was simulated for Cu Kα (weighted mean of Kα1 and Kα2).

The 12 most intense peaks (2θ = 10–90°), most intense first:
Position (°2θ)  d [Å]  Rel. int.
39.34  2.290  100
33.24  2.695  62
31.88  2.807  39
32.39  2.764  30
32.68  2.740  27
22.78  3.903  21
33.51  2.674  18
71.32  1.322  17
51.85  1.763  16
64.37  1.447  15
16.58  5.348  14
36.41  2.468  12

Structural model:
```
6
Lattice="5.3585 -2.2899 0.0000 5.3585 2.2899 0.0000 -5.0170 0.0000 5.5282" Properties=species:S:1:pos:R:3 pbc="T T T"
Nd -1.1058 0.0000 1.6500
Nd 6.8058 0.0000 3.8783
Ga -0.8200 0.0000 4.9588
Ga 6.5200 0.0000 0.5694
Au 2.0434 0.0000 1.5575
Au 3.6567 0.0000 3.9707
```

No. 3
Starting from a structure optimized by DFT (GGA-PBE), the PXRD pattern of Nd4GaAuO was simulated for Cu Kα (weighted mean of Kα1 and Kα2).

The 12 most intense peaks (2θ = 10–90°), most intense first:
Position (°2θ)  d [Å]  Rel. int.
28.37  3.146  100
35.11  2.556  89
36.76  2.445  85
34.78  2.579  49
51.50  1.774  32
65.15  1.432  30
52.97  1.729  30
52.02  1.758  28
25.77  3.457  24
61.17  1.515  23
35.48  2.530  21
65.38  1.427  14

Structural model:
```
14
Lattice="3.4567 -7.5903 0.0000 3.4567 7.5903 0.0000 0.0000 0.0000 6.9165" Properties=species:S:1:pos:R:3 pbc="T T T"
Nd 1.7283 3.7952 0.0000
Nd 1.7283 3.7952 3.4582
Nd 3.4567 6.5744 5.1874
Nd 3.4567 1.0646 5.1874
Nd 1.7283 -3.7952 0.0000
Nd 1.7283 -3.7952 3.4582
Nd 3.4567 -1.0646 1.7291
Nd 3.4567 -6.5744 1.7291
Ga 3.4567 1.8973 1.7291
Ga 3.4567 -1.8973 5.1874
Au 3.4567 5.7575 1.7291
Au 3.4567 -5.7575 5.1874
O 3.4567 3.7361 5.1874
O 3.4567 -3.7361 1.7291
```

No. 4
Starting from a structure optimized by DFT (GGA-PBE), the PXRD pattern of GaNi5Au was simulated for Cu Kα (weighted mean of Kα1 and Kα2).

The 12 most intense peaks (2θ = 10–90°), most intense first:
Position (°2θ)  d [Å]  Rel. int.
43.09  2.099  100
43.88  2.063  95
27.72  3.218  78
21.54  4.126  61
50.91  1.794  60
74.24  1.277  37
41.38  2.182  35
50.13  1.820  32
89.95  1.091  23
45.11  2.010  22
89.29  1.097  13
69.74  1.348  12

Structural model:
```
7
Lattice="2.5045 -3.6393 0.0000 2.5045 3.6393 0.0000 0.0000 0.0000 5.1402" Properties=species:S:1:pos:R:3 pbc="T T T"
Ga 0.0000 0.0000 0.0000
Ni 1.2522 1.8197 1.2379
Ni 1.2522 1.8197 3.9022
Ni 1.2522 -1.8197 1.2379
Ni 1.2522 -1.8197 3.9022
Ni 2.5045 0.0000 0.0000
Au 2.5045 0.0000 2.5701
```